Record 1
LaTl9Te6: calculated XRD peak list (Cu Kα), based on DFT lattice parameters and positions (GGA-PBE).
Kinematic intensities with the Lorentz-polarization factor, no thermal factor.

Atomic structure:
```
16
Lattice="-4.5290 4.5290 6.8123 4.5290 -4.5290 6.8123 4.5290 4.5290 -6.8123" Properties=species:S:1:pos:R:3 pbc="T T T"
La 0.0000 0.0000 0.0000
Tl 3.2058 -1.3474 2.1534
Tl 5.8764 -1.3232 4.6589
Tl 5.8522 1.3474 2.1534
Tl 3.1816 1.3232 4.6589
Tl 0.0000 0.0000 6.8123
Tl 1.3474 3.2058 2.1534
Tl -1.3232 3.1816 4.6589
Tl -1.3474 5.8522 2.1534
Tl 1.3232 5.8764 4.6589
Te 2.9791 1.3793 0.0000
Te 0.0000 0.0000 3.2479
Te 3.1497 -1.5499 6.8123
Te 1.3793 6.0789 0.0000
Te 0.0000 0.0000 10.3766
Te 1.5499 3.1497 6.8123
```

Peak list (10 most intense, 5 to 70 degrees two-theta, in order of rising 2θ)
two_theta, d (Å), Rel. int.
29.55, 3.023, 100
29.71, 3.007, 13
31.23, 2.864, 52
39.69, 2.271, 10
45.89, 1.978, 12
51.36, 1.779, 14
57.51, 1.602, 12
58.52, 1.577, 22
59.43, 1.555, 9
65.86, 1.418, 9

Record 2
La5TlTe8: calculated XRD peak list (Cu Kα), based on DFT lattice parameters and positions (GGA-PBE).
Kinematic intensities with the Lorentz-polarization factor, no thermal factor.

Atomic structure:
```
14
Lattice="-4.8887 4.8887 4.8608 4.8887 -4.8887 4.8608 4.8887 4.8887 -4.8608" Properties=species:S:1:pos:R:3 pbc="T T T"
La 0.0000 0.0000 0.0000
La 3.6268 2.4646 -1.1831
La 2.4241 -1.2619 6.0439
La 1.2619 2.4241 3.6777
La 2.4646 6.1506 1.1831
Tl 4.8887 0.0000 2.4304
Te 6.6270 0.7495 -0.5582
Te 1.6197 -0.7676 2.8963
Te 3.2690 5.6563 -1.9644
Te 0.7495 3.1504 0.5582
Te 4.1211 3.2690 1.9644
Te 4.1393 1.7383 5.4190
Te -1.7383 4.1393 4.3025
Te 0.7676 1.6197 6.8252
```

Peak list (10 most intense, 5 to 70 degrees two-theta, in order of rising 2θ)
two_theta, d (Å), Rel. int.
22.30, 3.986, 14
28.89, 3.091, 100
29.03, 3.076, 53
34.35, 2.610, 81
34.45, 2.603, 31
41.32, 2.185, 16
43.50, 2.081, 18
47.55, 1.912, 17
58.20, 1.585, 30
61.65, 1.504, 16

Record 3
La2UTe5: calculated XRD peak list (Cu Kα), based on DFT lattice parameters and positions (GGA-PBE).
Kinematic intensities with the Lorentz-polarization factor, no thermal factor.

Atomic structure:
```
16
Lattice="9.5104 -3.1264 0.0000 9.5104 3.1264 0.0000 -0.1119 0.0000 8.9772" Properties=species:S:1:pos:R:3 pbc="T T T"
La 1.6340 0.0000 2.1216
La 4.6590 -0.0594 6.8902
La 14.2499 -0.0594 2.0869
La 17.2749 0.0000 6.8556
U 7.9048 -0.1652 2.1333
U 11.0041 -0.1652 6.8439
Te 1.4964 -0.1237 7.7167
Te 9.4545 1.4864 4.4886
Te 4.8207 -0.0567 1.2444
Te 7.8808 -0.0263 7.8301
Te 6.0076 -1.5575 4.4675
Te 11.0281 -0.0263 1.1471
Te 14.0882 -0.0567 7.7327
Te 9.4545 -1.6009 4.4886
Te 12.9013 -1.5575 4.5097
Te 17.4125 -0.1237 1.2605
```

Peak list (10 most intense, 5 to 70 degrees two-theta, in order of rising 2θ)
two_theta, d (Å), Rel. int.
28.14, 3.171, 64
28.55, 3.126, 41
29.83, 2.996, 75
30.27, 2.953, 53
34.43, 2.605, 38
34.85, 2.574, 39
34.98, 2.565, 77
36.02, 2.494, 60
36.32, 2.473, 54
40.53, 2.226, 100

Record 4
La2UTe4: calculated XRD peak list (Cu Kα), based on DFT lattice parameters and positions (GGA-PBE).
Kinematic intensities with the Lorentz-polarization factor, no thermal factor.

Atomic structure:
```
14
Lattice="-4.7935 4.7935 4.7688 4.7935 -4.7935 4.7688 4.7935 4.7935 -4.7688" Properties=species:S:1:pos:R:3 pbc="T T T"
La 2.3967 1.2070 -1.1922
La 3.5865 -2.3967 5.9610
La 2.3967 3.5865 3.5766
La 1.2070 7.1902 1.1922
U 4.7935 0.0000 2.3844
U 0.0000 0.0000 4.7688
Te 3.1126 4.0750 -2.8017
Te 5.5119 1.6809 -0.4173
Te 1.6809 0.7185 1.9671
Te 1.6809 4.0750 0.4173
Te 5.5119 3.1126 2.8017
Te 3.1126 0.7185 5.1861
Te -0.7185 3.1126 4.3515
Te -0.7185 1.6809 7.5705
```

Peak list (10 most intense, 5 to 70 degrees two-theta, in order of rising 2θ)
two_theta, d (Å), Rel. int.
22.75, 3.908, 21
29.47, 3.031, 100
29.60, 3.018, 54
35.06, 2.560, 85
35.14, 2.554, 30
42.17, 2.143, 18
44.39, 2.041, 21
48.46, 1.878, 20
59.47, 1.554, 30
59.70, 1.549, 17

Record 5
LaTh: calculated XRD peak list (Cu Kα), based on DFT lattice parameters and positions (GGA-PBE).
Kinematic intensities with the Lorentz-polarization factor, no thermal factor.

Atomic structure:
```
2
Lattice="1.8065 1.0430 5.9986 -1.8065 1.0430 5.9986 0.0000 -2.0860 5.9986" Properties=species:S:1:pos:R:3 pbc="T T T"
La 0.0000 0.0000 0.0000
Th 0.0000 0.0000 8.9978
```

Peak list (10 most intense, 5 to 70 degrees two-theta, in order of rising 2θ)
two_theta, d (Å), Rel. int.
14.77, 5.999, 9
29.79, 2.999, 35
30.24, 2.955, 100
34.93, 2.569, 69
49.93, 1.826, 25
50.52, 1.806, 24
59.24, 1.560, 16
59.76, 1.547, 30
60.02, 1.541, 15
62.89, 1.478, 13

Record 6
La3Tl5: calculated XRD peak list (Cu Kα), based on DFT lattice parameters and positions (GGA-PBE).
Kinematic intensities with the Lorentz-polarization factor, no thermal factor.

Atomic structure:
```
16
Lattice="5.4122 -4.3119 0.0000 5.4122 4.3119 0.0000 0.0000 0.0000 10.5642" Properties=species:S:1:pos:R:3 pbc="T T T"
La 5.4122 3.1366 7.9232
La 3.2276 0.0000 0.0000
La 3.2276 0.0000 5.2821
La 7.5967 0.0000 0.0000
La 7.5967 0.0000 5.2821
La 5.4122 -3.1366 2.6411
Tl 2.4005 1.8619 7.9232
Tl 5.4122 2.6318 0.5818
Tl 5.4122 2.6318 4.7003
Tl 2.4005 -1.8619 2.6411
Tl 5.4122 0.0447 2.6411
Tl 5.4122 -0.0447 7.9232
Tl 8.4238 1.8619 7.9232
Tl 5.4122 -2.6318 5.8639
Tl 5.4122 -2.6318 9.9824
Tl 8.4238 -1.8619 2.6411
```

Peak list (10 most intense, 5 to 70 degrees two-theta, in order of rising 2θ)
two_theta, d (Å), Rel. int.
28.60, 3.122, 16
31.47, 2.842, 100
31.78, 2.816, 23
32.22, 2.778, 30
33.10, 2.706, 29
33.94, 2.641, 25
36.90, 2.436, 19
37.17, 2.419, 26
52.95, 1.729, 15
62.19, 1.493, 14

Record 7
LaTl: calculated XRD peak list (Cu Kα), based on DFT lattice parameters and positions (GGA-PBE).
Kinematic intensities with the Lorentz-polarization factor, no thermal factor.

Atomic structure:
```
2
Lattice="3.9940 0.0000 0.0000 0.0000 3.9940 0.0000 0.0000 0.0000 3.9940" Properties=species:S:1:pos:R:3 pbc="T T T"
La 0.0000 0.0000 0.0000
Tl 1.9970 1.9970 1.9970
```

Peak list (7 most intense, 5 to 70 degrees two-theta, in order of rising 2θ)
two_theta, d (Å), Rel. int.
22.26, 3.994, 4
31.68, 2.824, 100
39.06, 2.306, 1
45.42, 1.997, 19
51.14, 1.786, 2
56.43, 1.631, 39
66.18, 1.412, 12

Record 8
La3Tl: calculated XRD peak list (Cu Kα), based on DFT lattice parameters and positions (GGA-PBE).
Kinematic intensities with the Lorentz-polarization factor, no thermal factor.

Atomic structure:
```
4
Lattice="-2.4917 2.4917 5.2698 2.4917 -2.4917 5.2698 2.4917 2.4917 -5.2698" Properties=species:S:1:pos:R:3 pbc="T T T"
La 0.0000 0.0000 0.0000
La 2.4917 0.0000 2.6349
La 0.0000 2.4917 2.6349
Tl 0.0000 0.0000 5.2698
```

Peak list (10 most intense, 5 to 70 degrees two-theta, in order of rising 2θ)
two_theta, d (Å), Rel. int.
16.82, 5.270, 1
19.71, 4.505, 3
30.52, 2.929, 100
34.03, 2.635, 19
36.05, 2.492, 32
50.41, 1.810, 25
51.89, 1.762, 11
58.73, 1.572, 16
61.41, 1.510, 27
63.52, 1.465, 12

Record 9
La5Tl3: calculated XRD peak list (Cu Kα), based on DFT lattice parameters and positions (GGA-PBE).
Kinematic intensities with the Lorentz-polarization factor, no thermal factor.

Atomic structure:
```
16
Lattice="-6.4385 6.4385 3.1965 6.4385 -6.4385 3.1965 6.4385 6.4385 -3.1965" Properties=species:S:1:pos:R:3 pbc="T T T"
La 10.0288 1.0642 0.0000
La 1.0642 2.8482 0.0000
La 6.4385 0.0000 1.5982
La 7.5027 3.5903 0.0000
La 3.5903 5.3744 0.0000
La 2.8482 1.0642 3.1965
La -1.0642 2.8482 3.1965
La 0.0000 6.4385 1.5982
La 5.3744 3.5903 3.1965
La -3.5903 5.3744 3.1965
Tl 4.3346 2.1039 0.0000
Tl 0.0000 0.0000 1.5982
Tl 4.3346 -2.1039 3.1965
Tl 2.1039 8.5425 0.0000
Tl 0.0000 0.0000 4.7947
Tl 2.1039 4.3346 3.1965
```

Peak list (10 most intense, 5 to 70 degrees two-theta, in order of rising 2θ)
two_theta, d (Å), Rel. int.
27.91, 3.196, 18
28.63, 3.118, 37
31.06, 2.879, 65
31.24, 2.863, 59
31.89, 2.806, 100
34.28, 2.616, 29
39.74, 2.268, 18
40.27, 2.240, 25
51.95, 1.760, 26
59.28, 1.559, 23

Record 10
La3Tl: calculated XRD peak list (Cu Kα), based on DFT lattice parameters and positions (GGA-PBE).
Kinematic intensities with the Lorentz-polarization factor, no thermal factor.

Atomic structure:
```
4
Lattice="5.0801 0.0000 0.0000 0.0000 5.0801 0.0000 0.0000 0.0000 5.0801" Properties=species:S:1:pos:R:3 pbc="T T T"
La 0.0000 0.0000 2.5400
La 0.0000 2.5400 0.0000
La 2.5400 0.0000 0.0000
Tl 2.5400 2.5400 2.5400
```

Peak list (10 most intense, 5 to 70 degrees two-theta, in order of rising 2θ)
two_theta, d (Å), Rel. int.
17.46, 5.080, 3
24.79, 3.592, 3
30.48, 2.933, 100
35.34, 2.540, 51
39.67, 2.272, 2
43.64, 2.074, 1
50.84, 1.796, 36
54.16, 1.693, 1
60.44, 1.532, 43
63.43, 1.466, 12

Record 11
LaTmTl2: calculated XRD peak list (Cu Kα), based on DFT lattice parameters and positions (GGA-PBE).
Kinematic intensities with the Lorentz-polarization factor, no thermal factor.

Atomic structure:
```
4
Lattice="0.0000 3.8756 3.8756 3.8756 0.0000 3.8756 3.8756 3.8756 0.0000" Properties=species:S:1:pos:R:3 pbc="T T T"
La 0.0000 0.0000 0.0000
Tm 3.8756 3.8756 3.8756
Tl 1.9378 1.9378 1.9378
Tl 5.8133 5.8133 5.8133
```

Peak list (7 most intense, 5 to 70 degrees two-theta, in order of rising 2θ)
two_theta, d (Å), Rel. int.
22.95, 3.876, 2
32.68, 2.740, 100
40.31, 2.238, 1
46.89, 1.938, 19
52.82, 1.733, 1
58.32, 1.582, 39
68.48, 1.370, 12

Record 12
La2TlZn: calculated XRD peak list (Cu Kα), based on DFT lattice parameters and positions (GGA-PBE).
Kinematic intensities with the Lorentz-polarization factor, no thermal factor.

Atomic structure:
```
4
Lattice="0.0000 3.9000 3.9000 3.9000 0.0000 3.9000 3.9000 3.9000 0.0000" Properties=species:S:1:pos:R:3 pbc="T T T"
La 1.9500 1.9500 1.9500
La 5.8499 5.8499 5.8499
Tl 0.0000 0.0000 0.0000
Zn 3.9000 3.9000 3.9000
```

Peak list (8 most intense, 5 to 70 degrees two-theta, in order of rising 2θ)
two_theta, d (Å), Rel. int.
19.71, 4.503, 12
32.47, 2.758, 100
38.27, 2.352, 7
46.58, 1.950, 18
51.04, 1.789, 3
57.92, 1.592, 38
61.80, 1.501, 3
67.99, 1.379, 12

Record 13
LaTlZn: calculated XRD peak list (Cu Kα), based on DFT lattice parameters and positions (GGA-PBE).
Kinematic intensities with the Lorentz-polarization factor, no thermal factor.

Atomic structure:
```
6
Lattice="4.8485 0.0000 0.0000 -2.4242 4.1989 0.0000 0.0000 0.0000 7.8539" Properties=species:S:1:pos:R:3 pbc="T T T"
La 0.0000 0.0000 0.0000
La 0.0000 0.0000 3.9269
Tl 0.0000 2.7993 1.9635
Tl 2.4243 1.3996 5.8904
Zn 0.0000 2.7993 5.8904
Zn 2.4243 1.3996 1.9635
```

Peak list (10 most intense, 5 to 70 degrees two-theta, in order of rising 2θ)
two_theta, d (Å), Rel. int.
22.64, 3.927, 9
24.03, 3.703, 31
31.18, 2.868, 100
37.08, 2.424, 71
43.89, 2.063, 10
46.24, 1.963, 13
49.21, 1.851, 28
60.70, 1.526, 34
63.19, 1.471, 29
66.84, 1.400, 13

Record 14
La3Tm: calculated XRD peak list (Cu Kα), based on DFT lattice parameters and positions (GGA-PBE).
Kinematic intensities with the Lorentz-polarization factor, no thermal factor.

Atomic structure:
```
4
Lattice="-2.6059 2.6059 5.2528 2.6059 -2.6059 5.2528 2.6059 2.6059 -5.2528" Properties=species:S:1:pos:R:3 pbc="T T T"
La 0.0000 0.0000 0.0000
La 2.6059 0.0000 2.6264
La 0.0000 2.6059 2.6264
Tm 0.0000 0.0000 5.2528
```

Peak list (9 most intense, 5 to 70 degrees two-theta, in order of rising 2θ)
two_theta, d (Å), Rel. int.
19.01, 4.669, 1
29.61, 3.017, 100
34.14, 2.626, 17
34.42, 2.606, 34
49.26, 1.850, 24
49.46, 1.843, 12
58.35, 1.582, 15
58.71, 1.573, 29
61.47, 1.508, 13